Simulated powder X-ray diffraction pattern of Lu3SN2 for Cu Kα (weighted mean of Kα1 and Kα2), from DFT lattice parameters and positions (GGA-PBE).
Intensities are scaled so that the largest is 100.

Structural model:
abc: 3.4551 3.4551 8.8196
angles: 90.00 90.00 120.00
Element x y z (fractional)
Lu (0.0000, 0.0000, 0.0000)
Lu (0.3333, 0.6667, 0.7064)
Lu (0.6667, 0.3333, 0.2936)
S (0.0000, 0.0000, 0.5000)
N (0.3333, 0.6667, 0.1588)
N (0.6667, 0.3333, 0.8412)

The 10 most intense peaks (5 to 70 degrees two-theta), low angle first:
two_theta	Rel. int.
30.40	22
31.57	94
36.28	100
43.14	17
51.48	22
53.01	35
60.97	14
62.34	19
63.02	14
65.93	17